For Er2Zn15Hg2, a cell relaxed with PBE gives the computed X-ray powder pattern in this record (copper Kα).
Kinematic intensities with the Lorentz-polarization factor, no thermal factor.

Most intense lines, 10 to 90 degrees two-theta, by intensity:
hkl 2 2 0, 2θ = 39.51°, I 100
hkl 3 0 0, 2θ = 34.04°, I 91
hkl 0 3 3, 2θ = 39.83°, I 79
hkl 0 2 4, 2θ = 35.32°, I 60
hkl 2 1 4, 2θ = 40.64°, I 55
hkl 2 2 3, 2θ = 44.70°, I 46
hkl 1 1 0, 2θ = 19.46°, I 40
hkl 1 0 4, 2θ = 29.18°, I 40

Unit cell a=9.1237 b=9.1237 c=13.2787 alpha=90.00 beta=90.00 gamma=120.00
Space group R-3m (No. 166, hexagonal axes)
Symmetry-distinct sites (fractional):
Er1 0.0000 0.0000 0.1578 x6
Zn1 0.0000 0.3062 0.5000 x18
Zn2 0.0000 0.5000 0.0000 x9
Zn3 0.0173 0.5086 0.6535 x18
Hg1 0.0000 0.0000 0.3907 x6



For AgPt6Rh, a cell relaxed with PBE gives the computed X-ray powder pattern in this record (copper Kα).
Kinematic intensities with the Lorentz-polarization factor, no thermal factor.

Most intense lines, 10 to 90 degrees two-theta, by intensity:
hkl 1 1 2, 2θ = 39.26°, I 100
hkl 2 0 0, 2θ = 45.65°, I 49
hkl 3 1 2, 2θ = 80.08°, I 38
hkl 2 2 0, 2θ = 66.55°, I 32
hkl 2 2 4, 2θ = 84.43°, I 11
hkl 1 0 0, 2θ = 22.37°, I 4
hkl 1 1 0, 2θ = 31.84°, I 4
hkl 2 1 0, 2θ = 51.41°, I 2

Unit cell a=3.974 b=3.974 c=7.949 alpha=90.00 beta=90.00 gamma=90.00
Space group P4/mmm (No. 123)
Symmetry-distinct sites (fractional):
Ag1 0.000 0.000 0.000 x1
Pt1 0.000 0.500 0.256 x4
Pt2 0.500 0.500 0.000 x1
Pt3 0.500 0.500 0.500 x1
Rh1 0.000 0.000 0.500 x1



For BPb2O4, a cell relaxed with PBE gives the computed X-ray powder pattern in this record (copper Kα).
Kinematic intensities with the Lorentz-polarization factor, no thermal factor.

Most intense lines, 10 to 90 degrees two-theta, by intensity:
hkl 0 0 1, 2θ = 16.97°, I 100
hkl 2 2 0, 2θ = 40.75°, I 54
hkl 2 0 -1, 2θ = 26.10°, I 41
hkl 2 2 -1, 2θ = 36.76°, I 40
hkl 0 2 1, 2θ = 30.73°, I 40
hkl 0 2 0, 2θ = 25.43°, I 37
hkl 0 0 2, 2θ = 34.32°, I 27
hkl 0 2 2, 2θ = 43.20°, I 19

Unit cell a=6.829 b=7.005 c=6.232 alpha=90.00 beta=123.01 gamma=90.00
Space group Cm (No. 8)
Symmetry-distinct sites (fractional):
B1 0.000 0.000 0.000 x2
Pb1 0.254 0.250 0.500 x4
O1 0.001 0.182 0.000 x4
O2 0.004 0.000 0.500 x2
O3 0.004 0.500 0.500 x2